Record 1
For NaMn2O4, a GGA+U-relaxed structure gives the theoretical powder diffractogram in this record (CuKα).

The 6 most intense peaks (2θ = 10–90°), in order of rising 2θ:
17.7 deg, d 5.024, I = 100
33.1 deg, d 2.705, I = 35
34.7 deg, d 2.586, I = 61
42.4 deg, d 2.132, I = 37
55.9 deg, d 1.645, I = 27
59.5 deg, d 1.554, I = 39

Structural model:
```
data_NaMn2O4
_chemical_formula_sum 'Na2 Mn4 O8'
_space_group_name_H-M_alt 'P 1'
_space_group_IT_number 1
_cell_length_a 6.229
_cell_length_b 6.229
_cell_length_c 6.229
_cell_angle_alpha 122.09
_cell_angle_beta 122.09
_cell_angle_gamma 86.42
loop_
_space_group_symop_operation_xyz
'x,y,z'
loop_
_atom_site_label
_atom_site_fract_x
_atom_site_fract_y
_atom_site_fract_z
Na1 0.375 0.625 0.750
Na2 0.625 0.375 0.250
Mn1 0.000 0.000 0.000
Mn2 0.000 0.000 0.500
Mn3 0.000 0.500 0.000
Mn4 0.500 0.000 0.500
O1 0.192 0.231 0.961
O2 0.230 0.769 0.461
O3 0.231 0.192 0.461
O4 0.231 0.770 0.039
O5 0.769 0.230 0.961
O6 0.769 0.808 0.539
O7 0.770 0.231 0.539
O8 0.808 0.769 0.039
```

---

Record 2
For NaMn2O4, a GGA+U-relaxed structure gives the theoretical powder diffractogram in this record (CuKα).

The 6 most intense peaks (2θ = 10–90°), in order of rising 2θ:
15.0 deg, d 5.922, I = 43
17.7 deg, d 5.006, I = 100
32.4 deg, d 2.763, I = 38
35.6 deg, d 2.525, I = 38
38.4 deg, d 2.343, I = 24
44.6 deg, d 2.031, I = 49

Structural model:
```
data_NaMn2O4
_chemical_formula_sum 'Na2 Mn4 O8'
_space_group_name_H-M_alt 'P 1'
_space_group_IT_number 1
_cell_length_a 2.924
_cell_length_b 5.922
_cell_length_c 9.371
_cell_angle_alpha 90.00
_cell_angle_beta 90.00
_cell_angle_gamma 90.00
loop_
_space_group_symop_operation_xyz
'x,y,z'
loop_
_atom_site_label
_atom_site_fract_x
_atom_site_fract_y
_atom_site_fract_z
Na1 0.000 0.133 0.000
Na2 0.000 0.867 0.500
Mn1 0.000 0.388 0.403
Mn2 0.000 0.612 0.903
Mn3 0.500 0.283 0.677
Mn4 0.500 0.717 0.177
O1 0.000 0.084 0.716
O2 0.000 0.494 0.633
O3 0.000 0.506 0.133
O4 0.000 0.916 0.216
O5 0.500 0.192 0.470
O6 0.500 0.399 0.869
O7 0.500 0.601 0.369
O8 0.500 0.808 0.970
```

---

Record 3
For Na4Mn2O5, a GGA+U-relaxed structure gives the theoretical powder diffractogram in this record (CuKα).

The 6 most intense peaks (2θ = 10–90°), in order of rising 2θ:
20.5 deg, d 4.336, I = 77
32.8 deg, d 2.731, I = 42
37.3 deg, d 2.409, I = 61
41.2 deg, d 2.192, I = 100
51.9 deg, d 1.763, I = 29
56.8 deg, d 1.621, I = 53

Structural model:
```
data_Na4Mn2O5
_chemical_formula_sum 'Na8 Mn4 O10'
_space_group_name_H-M_alt 'P 1'
_space_group_IT_number 1
_cell_length_a 11.050
_cell_length_b 10.365
_cell_length_c 5.635
_cell_angle_alpha 81.59
_cell_angle_beta 68.11
_cell_angle_gamma 30.30
loop_
_space_group_symop_operation_xyz
'x,y,z'
loop_
_atom_site_label
_atom_site_fract_x
_atom_site_fract_y
_atom_site_fract_z
Na1 0.029 0.541 0.719
Na2 0.211 0.719 0.541
Na3 0.281 0.789 0.971
Na4 0.459 0.971 0.789
Na5 0.541 0.029 0.211
Na6 0.719 0.211 0.029
Na7 0.789 0.281 0.459
Na8 0.971 0.459 0.281
Mn1 0.095 0.655 0.095
Mn2 0.345 0.905 0.345
Mn3 0.655 0.095 0.655
Mn4 0.905 0.345 0.905
O1 0.060 0.060 0.690
O2 0.125 0.125 0.125
O3 0.192 0.192 0.558
O4 0.310 0.310 0.940
O5 0.442 0.442 0.808
O6 0.558 0.558 0.192
O7 0.690 0.690 0.060
O8 0.808 0.808 0.442
O9 0.875 0.875 0.875
O10 0.940 0.940 0.310
```